Starting from a cell relaxed with GGA-PBE, the X-ray diffraction stick pattern of K3NpH2O6 was computed for Cu Kα (weighted mean of Kα1 and Kα2).

Principal peaks in the range 2θ = 5–70°, sorted by position:
16.04 deg, rel. 189, (0 2 0); 17.70 deg, rel. 1000, (2 0 0); 23.95 deg, rel. 249, (2 2 0); 26.29 deg, rel. 139, (0 0 2); 28.99 deg, rel. 399, (1 3 1); 30.89 deg, rel. 273, (3 1 1); 35.85 deg, rel. 173, (2 2 2); 38.70 deg, rel. 143, (3 3 1); 47.98 deg, rel. 180, (5 1 1); 48.10 deg, rel. 136, (1 3 3)

Atomic structure:
```
data_K3NpH2O6
_chemical_formula_sum 'K12 Np4 H8 O24'
_symmetry_space_group_name_H-M 'P c c n'
_symmetry_Int_Tables_number 56
_cell_length_a 10.043
_cell_length_b 11.049
_cell_length_c 6.779
_cell_angle_alpha 90.00
_cell_angle_beta 90.00
_cell_angle_gamma 90.00
loop_
_symmetry_equiv_pos_as_xyz
'x,y,z'
'-x,-y,-z'
'-x+1/2,-y+1/2,z'
'x+1/2,y+1/2,-z'
'x+1/2,-y,-z+1/2'
'-x+1/2,y,z+1/2'
'-x,y+1/2,-z+1/2'
'x,-y+1/2,z+1/2'
loop_
_atom_site_label
_atom_site_type_symbol
_atom_site_fract_x
_atom_site_fract_y
_atom_site_fract_z
K1 K 0.086 0.157 0.009
K2 K 0.250 0.750 0.104
Np1 Np 0.000 0.000 0.500
H1 H 0.207 0.516 0.296
O1 O 0.060 0.642 0.860
O2 O 0.121 0.557 0.277
O3 O 0.147 0.094 0.397
```